(1)
# MgGa2
Computed powder X-ray diffraction pattern, a wavelength of 1.5418 Å. Input: a GGA-PBE-relaxed structure.
Lines closer than 0.1° are merged.

Structure:
Unit cell a=7.511 b=7.511 c=5.022 alpha=90.00 beta=90.00 gamma=156.07
Positions (direct):
1 Mg 0.060 0.940 0.750
2 Mg 0.940 0.060 0.250
3 Ga 0.273 0.727 0.250
4 Ga 0.386 0.614 0.750
5 Ga 0.614 0.386 0.250
6 Ga 0.727 0.273 0.750

The 6 most intense peaks (10 to 90 degrees two-theta), in order of falling intensity:
2θ/deg  d/Å  I_rel
38.67  2.328  1000
35.76  2.511  403
41.00  2.201  374
12.05  7.347  293
34.12  2.628  205
66.19  1.412  194

***

(2)
# MgGa
Computed powder X-ray diffraction pattern, a wavelength of 1.5418 Å. Input: a GGA-PBE-relaxed structure.
Lines closer than 0.1° are merged.

Structure:
Unit cell a=5.767 b=5.767 c=7.146 alpha=108.33 beta=108.33 gamma=32.42
Positions (direct):
1 Mg 0.000 0.000 0.000
2 Mg 0.331 0.331 0.633
3 Mg 0.611 0.611 0.702
4 Ga 0.281 0.281 0.041
5 Ga 0.667 0.667 0.314
6 Ga 0.938 0.938 0.365

The 6 most intense peaks (10 to 90 degrees two-theta), in order of falling intensity:
2θ/deg  d/Å  I_rel
37.60  2.392  1000
38.03  2.366  996
13.11  6.752  897
35.89  2.502  755
33.13  2.704  517
40.06  2.251  417

***

(3)
# MgGa3
Computed powder X-ray diffraction pattern, a wavelength of 1.5418 Å. Input: a GGA-PBE-relaxed structure.
Lines closer than 0.1° are merged.

Structure:
Unit cell a=4.824 b=4.824 c=4.824 alpha=60.00 beta=60.00 gamma=60.00
Positions (direct):
1 Mg 0.000 0.000 0.000
2 Ga 0.250 0.250 0.250
3 Ga 0.500 0.500 0.500
4 Ga 0.750 0.750 0.750

The 6 most intense peaks (10 to 90 degrees two-theta), in order of falling intensity:
2θ/deg  d/Å  I_rel
37.28  2.412  1000
67.23  1.393  335
53.74  1.706  169
79.47  1.206  102
22.57  3.939  90
26.12  3.411  47

***

(4)
# Mg2Ga
Computed powder X-ray diffraction pattern, a wavelength of 1.5418 Å. Input: a GGA-PBE-relaxed structure.
Lines closer than 0.1° are merged.

Structure:
Unit cell a=8.129 b=8.129 c=4.976 alpha=90.00 beta=90.00 gamma=158.16
Positions (direct):
1 Mg 0.056 0.944 0.750
2 Mg 0.277 0.723 0.250
3 Mg 0.723 0.277 0.750
4 Mg 0.944 0.056 0.250
5 Ga 0.389 0.611 0.750
6 Ga 0.611 0.389 0.250

The 6 most intense peaks (10 to 90 degrees two-theta), in order of falling intensity:
2θ/deg  d/Å  I_rel
38.32  2.349  1000
21.04  4.223  292
36.10  2.488  263
33.64  2.664  240
66.39  1.408  186
50.17  1.818  150

***

(5)
# Mg2Ga
Computed powder X-ray diffraction pattern, a wavelength of 1.5418 Å. Input: a GGA-PBE-relaxed structure.
Lines closer than 0.1° are merged.

Structure:
Unit cell a=5.921 b=5.921 c=7.206 alpha=101.42 beta=101.42 gamma=30.30
Positions (direct):
1 Mg 0.000 0.000 0.000
2 Mg 0.057 0.057 0.602
3 Mg 0.331 0.331 0.664
4 Mg 0.678 0.678 0.315
5 Ga 0.400 0.400 0.279
6 Ga 0.721 0.721 0.936

The 6 most intense peaks (10 to 90 degrees two-theta), in order of falling intensity:
2θ/deg  d/Å  I_rel
37.77  2.382  1000
38.45  2.341  959
36.69  2.449  689
33.24  2.695  677
38.29  2.351  613
18.11  4.899  589

***

(6)
# MgGa
Computed powder X-ray diffraction pattern, a wavelength of 1.5418 Å. Input: a GGA-PBE-relaxed structure.
Lines closer than 0.1° are merged.

Structure:
Unit cell a=3.996 b=3.996 c=3.996 alpha=60.00 beta=60.00 gamma=60.00
Positions (direct):
1 Mg 0.000 0.000 0.000
2 Ga 0.500 0.500 0.500

The 6 most intense peaks (10 to 90 degrees two-theta), in order of falling intensity:
2θ/deg  d/Å  I_rel
31.67  2.826  1000
45.39  1.998  722
27.33  3.263  445
75.19  1.264  303
56.40  1.631  247
83.87  1.154  224